# Na4Co7P6O24
Simulated XRD peak list, copper Kα. Input: a GGA+U-relaxed structure.
Kinematic intensities with the Lorentz-polarization factor, no thermal factor.

Cell and atoms:
Unit cell a=10.6180 b=14.5628 c=6.5392 alpha=90.00 beta=105.86 gamma=90.00
Space group Cm (No. 8)
Asymmetric unit:
Na (0.0000, 0.0000, 0.0000) x2
Na (0.1172, 0.5000, 0.9222) x2
Na (0.2702, 0.1145, 0.9527) x4
Co (0.0052, 0.3139, 0.6263) x4
Co (0.1810, 0.1576, 0.4399) x4
Co (0.1810, 0.5000, 0.4456) x2
Co (0.3579, 0.3214, 0.2596) x4
P (0.0092, 0.0000, 0.5193) x2
P (0.0852, 0.3127, 0.1533) x4
P (0.2786, 0.3171, 0.7318) x4
P (0.3553, 0.0000, 0.3856) x2
O (0.0142, 0.0858, 0.3701) x4
O (0.1280, 0.0000, 0.7149) x2
O (0.1754, 0.3964, 0.6621) x4
O (0.1802, 0.2279, 0.1673) x4
O (0.1829, 0.3951, 0.2256) x4
O (0.1860, 0.2299, 0.7129) x4
O (0.2343, 0.0000, 0.1915) x2
O (0.3501, 0.0879, 0.5267) x4
O (0.3642, 0.2952, 0.5781) x4
O (0.3651, 0.3389, 0.9550) x4
O (0.3811, 0.5000, 0.5816) x2
O (0.4811, 0.0000, 0.3166) x2
O (0.4965, 0.1631, 0.9319) x4
O (0.4992, 0.2105, 0.3059) x4

Principal peaks in the range 5° ≤ 2θ ≤ 70°, in order of rising 2θ:
- 12.2 deg, I 37, (0 2 0)
- 14.1 deg, I 83, (0 0 1)
- 23.3 deg, I 46, (1 3 -1)
- 31.0 deg, I 26, (0 2 2)
- 32.1 deg, I 100, (3 3 0)
- 33.0 deg, I 88, (1 3 -2)
- 37.0 deg, I 30, (0 6 0)
- 38.1 deg, I 26, (3 3 1)
- 40.8 deg, I 22, (3 5 0)
- 54.8 deg, I 23, (4 6 -2)